No. 1
Ca2MnSbO6: computed powder diffraction line list (Cu Kα (λ = 1.5418 Å)), based on a GGA+U-relaxed structure.
Neutral-atom scattering factors, no anomalous dispersion.

Principal peaks in the range 2θ = 10–90°, by intensity:
two_theta	intensity	index
32.29	100	1 1 1
32.63	63	1 1 -3
22.33	47	1 1 -1
45.56	42	2 2 -2
31.33	35	0 2 0
47.60	21	0 0 4
23.28	20	0 0 2
19.40	19	0 1 1
57.33	17	3 1 -1
57.91	17	3 1 -5
58.09	15	0 2 4
56.59	12	1 3 -3

Atomic structure:
Cell: 5.556 5.711 9.391 Å, 90.00 125.53 90.00°
Space group P2_1/c (No. 14)
One atom of each set of equivalent atoms:
Ca (0.239, 0.051, 0.249) x4
Mn (0.500, 0.000, 0.000) x2
Sb (0.000, 0.000, 0.500) x2
O (0.145, 0.210, 0.952) x4
O (0.242, 0.695, 0.951) x4
O (0.351, 0.033, 0.756) x4

No. 2
Ca2MnSbO6: computed powder diffraction line list (Cu Kα (λ = 1.5418 Å)), based on a GGA+U-relaxed structure.
Neutral-atom scattering factors, no anomalous dispersion.

Principal peaks in the range 2θ = 10–90°, by intensity:
two_theta	intensity	index
32.97	100	-1 1 2
23.15	68	1 -1 0
47.32	63	0 0 4
31.66	60	1 1 2
31.38	55	0 2 0
32.05	52	1 1 -2
32.27	51	2 0 0
21.56	41	1 1 0
43.94	38	2 2 0
58.20	23	2 0 4
57.68	21	0 2 4
53.31	19	2 -2 2

Atomic structure:
Cell: 5.562 5.716 7.679 Å, 89.49 89.53 86.03°
Space group P-1 (No. 2)
One atom of each set of equivalent atoms:
Ca (0.002, 0.052, 0.251) x2
Ca (0.484, 0.553, 0.248) x2
Mn (0.000, 0.500, 0.000) x1
Mn (0.500, 0.000, 0.500) x1
Sb (0.000, 0.500, 0.500) x1
Sb (0.500, 0.000, 0.000) x1
O (0.095, 0.533, 0.753) x2
O (0.183, 0.779, 0.450) x2
O (0.218, 0.815, 0.047) x2
O (0.299, 0.304, 0.047) x2
O (0.305, 0.295, 0.448) x2
O (0.405, 0.035, 0.746) x2

No. 3
Ca2MnSbO6: computed powder diffraction line list (Cu Kα (λ = 1.5418 Å)), based on a GGA+U-relaxed structure.
Neutral-atom scattering factors, no anomalous dispersion.

Principal peaks in the range 2θ = 10–90°, by intensity:
two_theta	intensity	index
31.77	100	1 2 -1
32.85	85	1 2 1
23.07	59	1 0 1
32.07	47	2 0 0
31.54	45	0 0 2
43.94	41	2 0 -2
57.75	34	0 4 2
21.57	34	1 0 -1
47.10	29	0 4 0
56.28	25	3 2 -1
47.20	25	2 0 2
15.62	23	0 0 1

Atomic structure:
Cell: 5.594 7.718 5.686 Å, 90.00 93.86 90.00°
Space group P2_1/m (No. 11)
One atom of each set of equivalent atoms:
Ca (0.008, 0.250, 0.038) x2
Ca (0.479, 0.750, 0.439) x2
Mn (0.500, 0.000, 0.000) x2
Sb (0.000, 0.000, 0.500) x2
O (0.105, 0.250, 0.459) x2
O (0.180, 0.551, 0.221) x4
O (0.302, 0.549, 0.703) x4
O (0.417, 0.250, 0.963) x2

No. 4
CaMnSi2O6: computed powder diffraction line list (Cu Kα (λ = 1.5418 Å)), based on a GGA+U-relaxed structure.
Neutral-atom scattering factors, no anomalous dispersion.

Principal peaks in the range 2θ = 10–90°, by intensity:
two_theta	intensity	index
28.94	100	2 2 -1
34.52	42	2 2 1
34.74	39	0 0 2
29.25	36	3 1 0
33.80	30	1 3 -1
40.93	23	3 3 -1
55.26	19	2 2 -3
63.18	19	5 3 1
50.12	17	1 5 0
59.97	17	1 3 -3
13.21	17	1 1 0
54.61	15	5 3 -1

Atomic structure:
Cell: 10.076 9.265 5.363 Å, 90.00 105.64 90.00°
Space group C2/c (No. 15)
One atom of each set of equivalent atoms:
Ca (0.000, 0.201, 0.250) x4
Mn (0.000, 0.404, 0.750) x4
Si (0.212, 0.091, 0.760) x8
O (0.120, 0.407, 0.155) x8
O (0.136, 0.242, 0.670) x8
O (0.152, 0.017, 0.995) x8

No. 5
CaMnSi2O7: computed powder diffraction line list (Cu Kα (λ = 1.5418 Å)), based on a GGA+U-relaxed structure.
Neutral-atom scattering factors, no anomalous dispersion.

Principal peaks in the range 2θ = 10–90°, by intensity:
two_theta	intensity	index
28.41	100	5 1 -2
13.14	78	1 1 0
31.94	74	4 2 -2
19.22	73	3 1 -1
14.51	52	1 1 -1
38.99	46	2 2 2
29.22	32	5 1 -1
31.68	24	1 1 -3
30.90	23	6 0 -2
40.09	23	1 3 -2
22.15	22	3 1 0
49.89	21	9 1 -4

Atomic structure:
Cell: 17.359 7.664 10.096 Å, 90.00 125.50 90.00°
Space group C2/c (No. 15)
One atom of each set of equivalent atoms:
Ca (0.198, 0.043, 0.432) x8
Mn (0.000, 0.000, 0.000) x4
Mn (0.000, 0.212, 0.750) x4
Si (0.129, 0.324, 0.100) x8
Si (0.171, 0.301, 0.695) x8
O (0.063, 0.386, 0.912) x8
O (0.067, 0.035, 0.909) x8
O (0.087, 0.174, 0.677) x8
O (0.088, 0.176, 0.161) x8
O (0.158, 0.494, 0.225) x8
O (0.191, 0.278, 0.561) x8
O (0.232, 0.268, 0.127) x8